Record 1
Simulated powder X-ray diffraction pattern of Cu for λ = 1.5418 Å (Cu Kα), from the PBE geometry in the Materials Project.
Peak positions follow from Bragg's law for the DFT cell and can differ from measured ones.

Most intense lines, 15 to 90 degrees two-theta, in order of rising 2θ:
43.57°, d 2.077, I 56, hkl 1 1 0
45.14°, d 2.008, I 100, hkl 1 0 1
63.32°, d 1.469, I 17, hkl 2 0 0
68.15°, d 1.376, I 7, hkl 0 0 2
81.12°, d 1.186, I 31, hkl 2 1 1
84.45°, d 1.147, I 14, hkl 1 1 2

Atomic structure:
```
data_Cu
_chemical_formula_sum 'Cu2'
_cell_length_a 2.9376
_cell_length_b 2.9376
_cell_length_c 2.7520
_cell_angle_alpha 90.00
_cell_angle_beta 90.00
_cell_angle_gamma 90.00
_space_group_name_H-M_alt 'I 4/m m m'
_space_group_IT_number 139
_space_group_name_Hall '-I 4 2'
loop_
_atom_site_label
_atom_site_type_symbol
_atom_site_fract_x
_atom_site_fract_y
_atom_site_fract_z
Cu1 Cu 0.0000 0.0000 0.0000
```



Record 2
Simulated powder X-ray diffraction pattern of LiTiIr2 for λ = 1.5418 Å (Cu Kα), from the PBE geometry in the Materials Project.
Peak positions follow from Bragg's law for the DFT cell and can differ from measured ones.

Most intense lines, 15 to 90 degrees two-theta, in order of rising 2θ:
25.55°, d 3.487, I 3, hkl 1 1 1
29.58°, d 3.020, I 74, hkl 2 0 0
42.33°, d 2.135, I 100, hkl 2 2 0
50.09°, d 1.821, I 1, hkl 3 1 1
52.49°, d 1.743, I 21, hkl 2 2 2
61.41°, d 1.510, I 17, hkl 4 0 0
69.62°, d 1.350, I 28, hkl 4 2 0
77.41°, d 1.233, I 34, hkl 4 2 2

Atomic structure:
```
data_LiTiIr2
_chemical_formula_sum 'Li4 Ti4 Ir8'
_cell_length_a 6.0395
_cell_length_b 6.0395
_cell_length_c 6.0395
_cell_angle_alpha 90.00
_cell_angle_beta 90.00
_cell_angle_gamma 90.00
_space_group_name_H-M_alt 'F m -3 m'
_space_group_IT_number 225
_space_group_name_Hall '-F 4 2 3'
loop_
_atom_site_label
_atom_site_type_symbol
_atom_site_fract_x
_atom_site_fract_y
_atom_site_fract_z
Li1 Li 0.0000 0.0000 0.0000
Ti1 Ti 0.0000 0.0000 0.5000
Ir1 Ir 0.2500 0.2500 0.2500
```



Record 3
Simulated powder X-ray diffraction pattern of NaNd9Si6O26 for λ = 1.5418 Å (Cu Kα), from the PBE geometry in the Materials Project.
Peak positions follow from Bragg's law for the DFT cell and can differ from measured ones.

Most intense lines, 15 to 90 degrees two-theta, in order of rising 2θ:
21.26°, d 4.180, I 28, hkl 2 0 0
22.27°, d 3.992, I 30, hkl 1 1 1
27.27°, d 3.270, I 36, hkl 0 1 2
28.25°, d 3.159, I 34, hkl 1 2 0
30.98°, d 2.887, I 100, hkl 3 -1 1
31.26°, d 2.861, I 47, hkl 2 -1 2
48.00°, d 1.895, I 34, hkl 1 2 3
50.68°, d 1.801, I 28, hkl 0 4 2

Atomic structure:
```
data_NaNd9Si6O26
_chemical_formula_sum 'Na1 Nd9 Si6 O26'
_cell_length_a 9.6523
_cell_length_b 9.6523
_cell_length_c 7.1064
_cell_angle_alpha 90.00
_cell_angle_beta 90.00
_cell_angle_gamma 120.00
_space_group_name_H-M_alt 'P 3'
_space_group_IT_number 143
_space_group_name_Hall 'P 3'
loop_
_atom_site_label
_atom_site_type_symbol
_atom_site_fract_x
_atom_site_fract_y
_atom_site_fract_z
Na1 Na 0.0000 0.0000 0.0000
Nd1 Nd 0.0000 0.0000 0.5031
Nd2 Nd 0.3333 0.6667 0.0047
Nd3 Nd 0.3333 0.6667 0.5043
Nd4 Nd 0.4218 0.3222 0.7566
Nd5 Nd 0.4331 0.0932 0.2530
Si1 Si 0.0383 0.7350 0.2554
Si2 Si 0.0659 0.3630 0.7522
O1 O 0.0142 0.4285 0.9398
O2 O 0.0159 0.4349 0.5686
O3 O 0.0704 0.2117 0.2643
O4 O 0.1580 0.6584 0.2544
O5 O 0.1883 0.0177 0.7450
O6 O 0.1968 0.7359 0.7549
O7 O 0.3237 0.2425 0.4412
O8 O 0.3410 0.2552 0.0768
O9 O 0.6667 0.3333 0.2616
O10 O 0.6667 0.3333 0.7563
```